Record 1
For TbH3Pd6, a cell relaxed with PBE gives the computed powder X-ray diffraction pattern in this record (a wavelength of 1.5418 Å).
Lines closer than 0.1° are merged.

Main lines, by intensity (2θ from 15° to 90°):
d/Å, Position (°2θ), I (rel.), hkl
2.378, 37.84, 100.0, 1 2 2
2.311, 38.98, 38.1, 0 0 2
2.329, 38.67, 36.7, 2 0 0
2.145, 42.12, 35.0, 2 0 2
1.987, 45.66, 22.7, 1 2 0
1.981, 45.81, 22.5, -1 2 2
3.047, 29.32, 17.4, -1 1 1
2.712, 33.03, 15.3, 0 1 2
1.189, 80.85, 11.9, 2 -4 0
1.279, 74.14, 11.4, 3 -2 2
1.428, 65.34, 10.0, 0 4 2
1.462, 63.63, 9.3, 3 2 2

Structure:
abc: 5.120 5.713 5.825
angles: 60.74 68.71 89.91
Space group P1 (No. 1)
One atom of each set of equivalent atoms:
Tb: 0.000 0.000 0.000 x1
H: 0.240 0.824 0.354 x1
H: 0.604 0.573 0.853 x1
H: 0.735 0.248 0.504 x1
Pd: 0.390 0.691 0.618 x1
Pd: 0.414 0.195 0.127 x1
Pd: 0.414 0.679 0.127 x1
Pd: 0.886 0.946 0.592 x1
Pd: 0.887 0.462 0.593 x1
Pd: 0.897 0.444 0.113 x1

---

Record 2
For Nd2ZnSi3, a cell relaxed with PBE gives the computed powder X-ray diffraction pattern in this record (a wavelength of 1.5418 Å).
Lines closer than 0.1° are merged.

Main lines, by intensity (2θ from 15° to 90°):
d/Å, Position (°2θ), I (rel.), hkl
2.732, 32.78, 100.0, 1 1 2
3.115, 28.65, 33.5, 1 0 3
2.346, 38.38, 27.9, 0 1 5
4.046, 21.97, 17.6, 0 1 1
2.112, 42.82, 17.5, 0 2 0
2.334, 38.57, 16.9, 1 0 5
2.080, 43.50, 16.7, 2 0 0
1.813, 50.34, 15.5, 1 0 7
3.525, 25.26, 15.3, 0 0 4
1.556, 59.38, 15.3, 2 1 5
3.142, 28.41, 14.4, 0 1 3
1.748, 52.34, 12.5, 1 2 3

Structure:
abc: 4.161 4.224 14.101
angles: 90.00 90.00 90.00
Space group Imm2 (No. 44)
One atom of each set of equivalent atoms:
Nd: 0.000 0.000 0.000 x2
Nd: 0.000 0.500 0.258 x2
Zn: 0.000 0.000 0.590 x2
Si: 0.000 0.000 0.421 x2
Si: 0.000 0.500 0.671 x2
Si: 0.000 0.500 0.837 x2

---

Record 3
For AcLa3Mg, a cell relaxed with PBE gives the computed powder X-ray diffraction pattern in this record (a wavelength of 1.5418 Å).
Lines closer than 0.1° are merged.

Main lines, by intensity (2θ from 15° to 90°):
d/Å, Position (°2θ), I (rel.), hkl
2.991, 29.87, 100.0, 1 -2 0
2.795, 32.02, 89.3, 1 0 3
3.007, 29.71, 57.0, 0 2 -2
3.039, 29.39, 47.5, 0 2 3
3.595, 24.77, 26.6, 1 -1 0
1.654, 55.56, 23.8, 1 -2 5
1.641, 56.03, 21.8, 2 -2 3
3.082, 28.97, 19.8, 0 3 1
2.316, 38.88, 18.7, 0 4 1
1.777, 51.42, 17.6, 1 -4 2
1.958, 46.36, 16.7, 2 0 1
3.390, 26.29, 16.5, 0 1 3

Structure:
abc: 3.917 9.266 10.451
angles: 76.60 79.20 90.00
Space group P-1 (No. 2)
One atom of each set of equivalent atoms:
Ac: 0.097 0.038 0.303 x2
La: 0.295 0.174 0.911 x2
La: 0.313 0.620 0.876 x2
La: 0.495 0.717 0.509 x2
Mg: 0.098 0.567 0.303 x2

---

Q: Which formula does entry 2 have?
A: Nd2ZnSi3